This entry pairs a crystal structure of HoErNi with its simulated XRD peak list. Radiation: Cu Ka. Structure: DFT lattice parameters and positions (GGA-PBE).
Intensities are scaled so that the largest is 1000.

Main lines, sorted by position (10 to 80 degrees two-theta):
2θ/deg	I (rel.)
27.18	369
27.46	360
29.18	419
34.30	866
34.52	851
37.56	1000
48.25	431
65.55	260
65.97	255
73.43	253

Structure:
a = 6.573 Å, b = 6.573 Å, c = 6.811 Å
α = 105.03°, β = 105.03°, γ = 29.70°
Atoms (fractional coordinates):
Ho: 0.131 0.131 0.066
Ho: 0.869 0.869 0.934
Er: 0.132 0.132 0.566
Er: 0.868 0.868 0.434
Ni: 0.500 0.500 0.254
Ni: 0.500 0.500 0.746